# 1
Er6Hg2Os: simulated powder diffraction line list (copper Kα), based on a DFT-relaxed cell (PBE, Alexandria).
Peak positions follow from Bragg's law for the DFT cell and can differ from measured ones.

Main lines, in order of falling intensity (10 to 80 degrees two-theta):
h k l	2theta	d [Å]	I/Imax
0 0 4	35.7	2.512	100
1 0 2	29.5	3.027	93
2 1 -3	30.9	2.897	85
1 3 -1	38.0	2.365	60
1 2 -2	28.6	3.121	42
1 1 2	31.8	2.810	41
1 2 -3	32.7	2.740	37
1 2 1	32.3	2.774	37
3 1 -1	45.8	1.979	36
1 1 -4	32.5	2.758	34
2 1 0	34.0	2.635	33
3 1 -5	46.8	1.943	30

```
data_Er6Hg2Os
_chemical_formula_sum 'Er12 Hg4 Os2'
_symmetry_space_group_name_H-M 'P 1 21/c 1'
_symmetry_Int_Tables_number 14
_symmetry_space_group_name_Hall '-P 2ybc'
_cell_length_a 6.658
_cell_length_b 7.591
_cell_length_c 11.909
_cell_angle_alpha 90.00
_cell_angle_beta 122.45
_cell_angle_gamma 90.00
loop_
_atom_site_label
_atom_site_type_symbol
_atom_site_fract_x
_atom_site_fract_y
_atom_site_fract_z
Er1 Er 0.123 0.186 0.448
Er2 Er 0.287 0.682 0.447
Er3 Er 0.372 0.020 0.254
Hg1 Hg 0.193 0.106 0.746
Os1 Os 0.000 0.000 0.000
```


# 2
ErHg2P2Pt7: simulated powder diffraction line list (copper Kα), based on a DFT-relaxed cell (PBE, Alexandria).
Peak positions follow from Bragg's law for the DFT cell and can differ from measured ones.

Main lines, in order of falling intensity (10 to 80 degrees two-theta):
h k l	2theta	d [Å]	I/Imax
2 0 2	37.0	2.429	100
2 2 -1	45.6	1.988	66
2 0 -3	34.2	2.620	48
2 0 -2	32.4	2.759	46
2 0 4	44.9	2.017	44
0 0 5	30.9	2.897	32
0 0 4	24.6	3.622	27
2 0 -7	49.8	1.832	25
2 2 -6	56.1	1.639	24
4 2 1	78.6	1.217	23
2 2 -8	65.1	1.434	22
0 4 0	66.5	1.405	22

```
data_ErHg2P2Pt7
_chemical_formula_sum 'Er2 Hg4 P4 Pt14'
_symmetry_space_group_name_H-M 'C 1 2/m 1'
_symmetry_Int_Tables_number 12
_symmetry_space_group_name_Hall '-C 2y'
_cell_length_a 5.623
_cell_length_b 5.621
_cell_length_c 14.753
_cell_angle_alpha 90.00
_cell_angle_beta 100.89
_cell_angle_gamma 90.00
loop_
_atom_site_label
_atom_site_type_symbol
_atom_site_fract_x
_atom_site_fract_y
_atom_site_fract_z
Er1 Er 0.000 0.000 0.000
Hg1 Hg 0.204 0.000 0.410
P1 P 0.119 0.500 0.241
Pt1 Pt 0.000 0.500 0.000
Pt2 Pt 0.175 0.250 0.849
Pt3 Pt 0.196 0.500 0.394
```


# 3
ErPaSnHg: simulated powder diffraction line list (copper Kα), based on a DFT-relaxed cell (PBE, Alexandria).
Peak positions follow from Bragg's law for the DFT cell and can differ from measured ones.

Main lines, in order of falling intensity (10 to 80 degrees two-theta):
h k l	2theta	d [Å]	I/Imax
2 2 0	33.9	2.641	100
4 2 2	60.7	1.525	39
4 0 0	48.8	1.867	18
4 4 0	71.4	1.320	12
1 1 1	20.6	4.312	4
3 1 1	40.0	2.252	3
2 0 0	23.8	3.735	1
3 3 1	53.5	1.714	1
5 1 1	64.9	1.437	1
5 3 1	75.3	1.263	1

```
data_ErPaSnHg
_chemical_formula_sum 'Er4 Pa4 Sn4 Hg4'
_symmetry_space_group_name_H-M 'F -4 3 m'
_symmetry_Int_Tables_number 216
_symmetry_space_group_name_Hall 'F -4 2 3'
_cell_length_a 7.469
_cell_length_b 7.469
_cell_length_c 7.469
_cell_angle_alpha 90.00
_cell_angle_beta 90.00
_cell_angle_gamma 90.00
loop_
_atom_site_label
_atom_site_type_symbol
_atom_site_fract_x
_atom_site_fract_y
_atom_site_fract_z
Er1 Er 0.000 0.000 0.000
Pa1 Pa 0.000 0.000 0.500
Sn1 Sn 0.250 0.250 0.750
Hg1 Hg 0.250 0.250 0.250
```